1.
Diffraction record for AlPb3OF9. The PXRD pattern is calculated, not measured: it uses DFT lattice parameters and positions (PBE) and Cu Kα.
Neutral-atom scattering factors, no anomalous dispersion.

Principal peaks in the range 10 to 90 degrees two-theta, sorted by position:
Position (°2θ)	d_spacing	I (rel.)
25.00	3.561	100
25.48	3.496	44
26.98	3.305	39
27.55	3.238	90
28.95	3.084	55
31.09	2.877	43
44.47	2.037	55
52.61	1.740	43

```
AlPb3OF9
1.0
5.7374 0.0000 0.0000
0.0000 5.7932 0.0000
-3.6094 0.0000 24.6753
Al Pb O F
4 12 4 36
Direct
0.1045 0.1844 0.4076
0.1045 0.3156 0.9076
0.8955 0.6844 0.0924
0.8955 0.8156 0.5924
0.0570 0.6761 0.3102
0.0570 0.8239 0.8102
0.3817 0.1740 0.0608
0.3817 0.3260 0.5608
0.4691 0.6438 0.1882
0.4691 0.8562 0.6882
0.5309 0.1438 0.3118
0.5309 0.3562 0.8118
0.6183 0.6740 0.4392
0.6183 0.8260 0.9392
0.9430 0.1761 0.1898
0.9430 0.3239 0.6898
0.3622 0.7213 0.5065
0.3622 0.7787 0.0065
0.6378 0.2213 0.9935
0.6378 0.2787 0.4935
0.0687 0.0832 0.5925
0.0687 0.4168 0.0925
0.0913 0.1327 0.3333
0.0913 0.3673 0.8333
0.1172 0.2433 0.4776
0.1172 0.2567 0.9776
0.1665 0.6380 0.6099
0.1665 0.8620 0.1099
0.2451 0.5834 0.7452
0.2451 0.9166 0.2452
0.2552 0.0792 0.7516
0.2552 0.4208 0.2516
0.2720 0.0490 0.8962
0.2720 0.4510 0.3962
0.3871 0.0321 0.4155
0.3871 0.4679 0.9155
0.4753 0.2316 0.1593
0.4753 0.2684 0.6593
0.5247 0.7316 0.3407
0.5247 0.7684 0.8407
0.6129 0.5321 0.0845
0.6129 0.9679 0.5845
0.7280 0.5490 0.6038
0.7280 0.9510 0.1038
0.7448 0.5792 0.7484
0.7448 0.9208 0.2484
0.7549 0.0834 0.7548
0.7549 0.4166 0.2548
0.8335 0.1380 0.8901
0.8335 0.3620 0.3901
0.8828 0.7433 0.0224
0.8828 0.7567 0.5224
0.9087 0.6327 0.1667
0.9087 0.8673 0.6667
0.9313 0.5832 0.9075
0.9313 0.9168 0.4075
```


2.
Diffraction record for Zr2N2O. The PXRD pattern is calculated, not measured: it uses DFT lattice parameters and positions (PBE) and Cu Kα.
Neutral-atom scattering factors, no anomalous dispersion.

Principal peaks in the range 10 to 90 degrees two-theta, sorted by position:
Position (°2θ)	d_spacing	I (rel.)
21.23	4.184	18
30.18	2.961	100
30.29	2.951	33
35.02	2.562	37
50.30	1.814	25
50.43	1.810	25
59.76	1.547	11
59.87	1.545	18

```
Zr2N2O
1.0
8.8536 0.0000 0.0000
-2.9295 8.3828 0.0000
-2.9608 -4.1864 7.2535
Zr N O
16 16 8
Direct
0.0000 0.0000 0.0000
0.0058 0.5044 0.5025
0.0377 0.2862 0.8158
0.2130 0.2418 0.5354
0.2418 0.0338 0.7848
0.2596 0.5450 0.2834
0.2918 0.8220 0.0361
0.4670 0.7864 0.7481
0.4942 0.5610 0.0710
0.5045 0.0674 0.5680
0.5318 0.2759 0.3089
0.7142 0.7522 0.5451
0.7497 0.5308 0.7943
0.7607 0.0524 0.2945
0.7919 0.3340 0.0439
0.9689 0.7908 0.2561
0.0267 0.5789 0.2987
0.2106 0.7611 0.7534
0.2230 0.9924 0.5153
0.2391 0.5719 0.0501
0.2812 0.0781 0.0590
0.3008 0.3084 0.8223
0.4832 0.4936 0.2773
0.4888 0.8066 0.5177
0.5154 0.0244 0.3224
0.7111 0.5298 0.0155
0.7166 0.7698 0.7978
0.7358 0.2597 0.2364
0.7835 0.2968 0.7761
0.9772 0.0008 0.7369
0.9824 0.2760 0.5576
0.9895 0.0443 0.2501
0.0157 0.2624 0.0604
0.0239 0.7603 0.0220
0.2673 0.4999 0.5261
0.4824 0.3168 0.5504
0.5267 0.7974 0.0163
0.5290 0.0666 0.8358
0.7652 0.8090 0.3318
0.7987 0.5451 0.5608
```


3.
Diffraction record for ZrPb. The PXRD pattern is calculated, not measured: it uses DFT lattice parameters and positions (PBE) and Cu Kα.
Neutral-atom scattering factors, no anomalous dispersion.

Principal peaks in the range 10 to 90 degrees two-theta, sorted by position:
Position (°2θ)	d_spacing	I (rel.)
25.25	3.527	14
30.10	2.969	100
41.17	2.192	15
41.83	2.160	27
44.34	2.043	22
44.93	2.017	11
51.85	1.763	14
69.18	1.358	11

```
ZrPb
1.0
4.0464 0.0000 0.0000
0.0000 8.7698 0.0000
-3.5970 0.0000 5.9346
Zr Pb
4 4
Direct
0.0220 0.1276 0.2708
0.0220 0.3724 0.7708
0.9780 0.6276 0.2292
0.9780 0.8724 0.7292
0.4837 0.6218 0.7314
0.4837 0.8782 0.2314
0.5163 0.1218 0.7686
0.5163 0.3782 0.2686
```